Entry 1:
For CsIn5S8, DFT lattice parameters and positions (GGA-PBE) gives the computed powder X-ray diffraction pattern in this record (λ = 1.5418 Å (Cu Kα)).

Atomic structure:
```
data_CsIn5S8
_chemical_formula_sum 'Cs2 In10 S16'
_space_group_name_H-M_alt 'C 1 2/m 1'
_space_group_IT_number 12
_space_group_name_Hall '-C 2y'
_cell_length_a 19.3531
_cell_length_b 3.9335
_cell_length_c 9.4653
_cell_angle_alpha 90.00
_cell_angle_beta 101.87
_cell_angle_gamma 90.00
loop_
_atom_site_label
_atom_site_type_symbol
_atom_site_fract_x
_atom_site_fract_y
_atom_site_fract_z
Cs1 Cs 0.0000 0.0000 0.0000
In1 In 0.0000 0.5000 0.5000
In2 In 0.1502 0.0000 0.4308
In3 In 0.2103 0.0000 0.8399
S1 S 0.0782 0.5000 0.3038
S2 S 0.0821 0.0000 0.6353
S3 S 0.1671 0.5000 0.9823
S4 S 0.2354 0.5000 0.6524
```

Main lines, low angle first (2θ from 5° to 70°):
| 2θ (°) | d/Å | I (rel.) | hkl |
| --- | --- | --- | --- |
| 19.20 | 4.623 | 100.0 | 4 0 -1 |
| 23.06 | 3.858 | 91.8 | 2 0 2 |
| 27.39 | 3.256 | 73.9 | 3 1 -1 |
| 29.41 | 3.037 | 58.3 | 3 1 1 |
| 30.81 | 2.902 | 85.1 | 6 0 -2 |
| 35.65 | 2.518 | 61.5 | 5 1 1 |
| 37.46 | 2.401 | 65.1 | 3 1 -3 |
| 46.16 | 1.967 | 44.8 | 0 2 0 |
| 48.24 | 1.887 | 72.7 | 9 1 -1 |
| 54.02 | 1.698 | 35.9 | 1 1 -5 |

---

Entry 2:
For Mg14ZnMo, DFT lattice parameters and positions (GGA-PBE) gives the computed powder X-ray diffraction pattern in this record (λ = 1.5418 Å (Cu Kα)).

Atomic structure:
```
data_Mg14ZnMo
_chemical_formula_sum 'Mg28 Zn2 Mo2'
_space_group_name_H-M_alt 'A m m 2'
_space_group_IT_number 38
_space_group_name_Hall 'A 2 -2'
_cell_length_a 9.9604
_cell_length_b 6.2501
_cell_length_c 10.8388
_cell_angle_alpha 90.00
_cell_angle_beta 90.00
_cell_angle_gamma 90.00
loop_
_atom_site_label
_atom_site_type_symbol
_atom_site_fract_x
_atom_site_fract_y
_atom_site_fract_z
Mg1 Mg 0.0000 0.0000 0.0000
Mg2 Mg 0.0000 0.0000 0.4995
Mg3 Mg 0.0000 0.2490 0.2513
Mg4 Mg 0.2541 0.0000 0.6650
Mg5 Mg 0.2573 0.0000 0.1617
Mg6 Mg 0.2640 0.2457 0.9208
Mg7 Mg 0.5000 0.2479 0.2499
Zn1 Zn 0.5000 0.0000 0.5005
Mo1 Mo 0.5000 0.0000 0.0022
```

Main lines, low angle first (2θ from 5° to 70°):
| 2θ (°) | d/Å | I (rel.) | hkl |
| --- | --- | --- | --- |
| 8.88 | 9.960 | 40.2 | 1 0 0 |
| 16.36 | 5.419 | 11.3 | 0 0 2 |
| 18.64 | 4.760 | 15.3 | 1 0 2 |
| 33.08 | 2.708 | 27.6 | 0 2 2 |
| 34.32 | 2.613 | 7.8 | 1 0 4 |
| 36.07 | 2.490 | 24.5 | 4 0 0 |
| 37.82 | 2.379 | 100.0 | 2 0 4 |
| 49.74 | 1.833 | 16.6 | 4 2 2 |
| 59.09 | 1.563 | 16.9 | 0 4 0 |
| 66.01 | 1.415 | 17.7 | 6 0 4 |

---

Entry 3:
For NbBiO4, DFT lattice parameters and positions (GGA-PBE) gives the computed powder X-ray diffraction pattern in this record (λ = 1.5418 Å (Cu Kα)).

Atomic structure:
```
data_NbBiO4
_chemical_formula_sum 'Nb4 Bi4 O16'
_space_group_name_H-M_alt 'P -1'
_space_group_IT_number 2
_space_group_name_Hall '-P 1'
_cell_length_a 5.5811
_cell_length_b 7.7779
_cell_length_c 8.0512
_cell_angle_alpha 101.46
_cell_angle_beta 90.15
_cell_angle_gamma 92.78
loop_
_atom_site_label
_atom_site_type_symbol
_atom_site_fract_x
_atom_site_fract_y
_atom_site_fract_z
Nb1 Nb 0.2210 0.3456 0.1769
Nb2 Nb 0.2463 0.3263 0.6765
Bi1 Bi 0.2350 0.8801 0.1264
Bi2 Bi 0.2877 0.8344 0.6272
O1 O 0.0063 0.8944 0.8226
O2 O 0.0412 0.8253 0.3631
O3 O 0.0818 0.5544 0.7205
O4 O 0.1476 0.3223 0.9464
O5 O 0.3123 0.3274 0.4495
O6 O 0.4362 0.5462 0.2135
O7 O 0.4439 0.1084 0.6796
O8 O 0.4627 0.1570 0.1423
```

Main lines, low angle first (2θ from 5° to 70°):
| 2θ (°) | d/Å | I (rel.) | hkl |
| --- | --- | --- | --- |
| 11.62 | 7.613 | 44.3 | 0 1 0 |
| 27.52 | 3.241 | 100.0 | 1 0 -2 |
| 27.71 | 3.220 | 86.5 | 1 -2 0 |
| 27.87 | 3.201 | 88.2 | 1 0 2 |
| 29.06 | 3.073 | 82.6 | 1 2 0 |
| 29.18 | 3.061 | 45.8 | 0 2 -2 |
| 32.12 | 2.787 | 51.2 | 2 0 0 |
| 35.89 | 2.502 | 31.6 | 0 2 2 |
| 47.83 | 1.902 | 32.6 | -2 2 2 |
| 49.97 | 1.825 | 30.3 | 2 2 2 |

---

Entry 4:
For Na4AlSi2GePO12, DFT lattice parameters and positions (GGA-PBE) gives the computed powder X-ray diffraction pattern in this record (λ = 1.5418 Å (Cu Kα)).

Atomic structure:
```
data_Na4AlSi2GePO12
_chemical_formula_sum 'Na16 Al4 Si8 Ge4 P4 O48'
_space_group_name_H-M_alt 'C 1 c 1'
_space_group_IT_number 9
_space_group_name_Hall 'C -2yc'
_cell_length_a 15.1737
_cell_length_b 8.7467
_cell_length_c 8.7415
_cell_angle_alpha 90.00
_cell_angle_beta 124.55
_cell_angle_gamma 90.00
loop_
_atom_site_label
_atom_site_type_symbol
_atom_site_fract_x
_atom_site_fract_y
_atom_site_fract_z
Na1 Na 0.0000 0.0619 0.0000
Na2 Na 0.0665 0.2470 0.7461
Na3 Na 0.1350 0.4307 0.5014
Na4 Na 0.3152 0.1178 0.9938
Al1 Al 0.4180 0.2579 0.8081
Si1 Si 0.1735 0.1075 0.5049
Si2 Si 0.3184 0.4604 0.0028
Ge1 Ge 0.2158 0.2482 0.1954
P1 P 0.4616 0.1050 0.5032
O1 O 0.0586 0.3192 0.0145
O2 O 0.0683 0.1861 0.4787
O3 O 0.1689 0.0824 0.0194
O4 O 0.1751 0.1254 0.3170
O5 O 0.2343 0.3524 0.0217
O6 O 0.2340 0.4335 0.3173
O7 O 0.2788 0.1841 0.6820
O8 O 0.3643 0.1850 0.3260
O9 O 0.3967 0.3495 0.9811
O10 O 0.3969 0.4332 0.6793
O11 O 0.4591 0.1292 0.6736
O12 O 0.4649 0.0690 0.9789
```

Main lines, low angle first (2θ from 5° to 70°):
| 2θ (°) | d/Å | I (rel.) | hkl |
| --- | --- | --- | --- |
| 14.33 | 6.183 | 47.7 | 1 1 -1 |
| 20.13 | 4.412 | 59.1 | 1 1 1 |
| 20.30 | 4.374 | 80.4 | 2 0 -2 |
| 28.88 | 3.091 | 33.5 | 2 2 -2 |
| 31.50 | 2.840 | 53.8 | 4 2 -1 |
| 31.99 | 2.797 | 73.4 | 3 1 1 |
| 32.21 | 2.780 | 73.1 | 0 2 2 |
| 32.39 | 2.764 | 79.5 | 3 1 -3 |
| 35.53 | 2.527 | 100.0 | 6 0 -2 |
| 48.71 | 1.870 | 32.0 | 0 4 2 |

---

Entry 5:
For SnO2, DFT lattice parameters and positions (GGA-PBE) gives the computed powder X-ray diffraction pattern in this record (λ = 1.5418 Å (Cu Kα)).

Atomic structure:
```
data_SnO2
_chemical_formula_sum 'Sn2 O4'
_space_group_name_H-M_alt 'P 42/m n m'
_space_group_IT_number 136
_space_group_name_Hall '-P 4n 2n'
_cell_length_a 4.8323
_cell_length_b 4.8323
_cell_length_c 3.2432
_cell_angle_alpha 90.00
_cell_angle_beta 90.00
_cell_angle_gamma 90.00
loop_
_atom_site_label
_atom_site_type_symbol
_atom_site_fract_x
_atom_site_fract_y
_atom_site_fract_z
Sn1 Sn 0.0000 0.0000 0.0000
O1 O 0.1934 0.1934 0.5000
```

Main lines, low angle first (2θ from 5° to 70°):
| 2θ (°) | d/Å | I (rel.) | hkl |
| --- | --- | --- | --- |
| 26.08 | 3.417 | 100.0 | 1 1 0 |
| 33.27 | 2.693 | 82.0 | 1 0 1 |
| 37.21 | 2.416 | 23.7 | 2 0 0 |
| 50.77 | 1.798 | 70.7 | 2 1 1 |
| 53.65 | 1.708 | 17.1 | 2 2 0 |
| 56.77 | 1.622 | 8.4 | 0 0 2 |
| 60.59 | 1.528 | 16.4 | 3 1 0 |
| 63.50 | 1.465 | 17.2 | 1 1 2 |
| 64.60 | 1.443 | 21.7 | 3 0 1 |
| 69.86 | 1.346 | 9.2 | 2 0 2 |

---

Entry 6:
For SrMg6Nb, DFT lattice parameters and positions (GGA-PBE) gives the computed powder X-ray diffraction pattern in this record (λ = 1.5418 Å (Cu Kα)).

Atomic structure:
```
data_SrMg6Nb
_chemical_formula_sum 'Sr2 Mg12 Nb2'
_space_group_name_H-M_alt 'A m m 2'
_space_group_IT_number 38
_space_group_name_Hall 'A 2 -2'
_cell_length_a 5.1874
_cell_length_b 6.6966
_cell_length_c 11.3333
_cell_angle_alpha 90.00
_cell_angle_beta 90.00
_cell_angle_gamma 90.00
loop_
_atom_site_label
_atom_site_type_symbol
_atom_site_fract_x
_atom_site_fract_y
_atom_site_fract_z
Sr1 Sr 0.0000 0.0000 0.0000
Mg1 Mg 0.0000 0.0000 0.4882
Mg2 Mg 0.0000 0.2256 0.7478
Mg3 Mg 0.5000 0.0000 0.3157
Mg4 Mg 0.5000 0.2310 0.5771
Nb1 Nb 0.5000 0.0000 0.8088
```

Main lines, low angle first (2θ from 5° to 70°):
| 2θ (°) | d/Å | I (rel.) | hkl |
| --- | --- | --- | --- |
| 15.37 | 5.765 | 51.9 | 0 1 1 |
| 23.06 | 3.856 | 19.4 | 1 1 1 |
| 23.25 | 3.826 | 26.5 | 1 0 2 |
| 31.58 | 2.833 | 18.3 | 0 0 4 |
| 32.22 | 2.779 | 22.7 | 1 1 3 |
| 34.58 | 2.594 | 33.7 | 2 0 0 |
| 35.63 | 2.520 | 100.0 | 1 2 2 |
| 36.12 | 2.487 | 32.9 | 1 0 4 |
| 62.65 | 1.483 | 18.4 | 3 2 2 |
| 67.42 | 1.389 | 24.3 | 2 2 6 |

---

Entry 7:
For MgSi, DFT lattice parameters and positions (GGA-PBE) gives the computed powder X-ray diffraction pattern in this record (λ = 1.5418 Å (Cu Kα)).

Atomic structure:
```
data_MgSi
_chemical_formula_sum 'Mg12 Si12'
_space_group_name_H-M_alt 'P -1'
_space_group_IT_number 2
_space_group_name_Hall '-P 1'
_cell_length_a 5.3313
_cell_length_b 6.2288
_cell_length_c 14.2863
_cell_angle_alpha 79.18
_cell_angle_beta 88.55
_cell_angle_gamma 76.50
loop_
_atom_site_label
_atom_site_type_symbol
_atom_site_fract_x
_atom_site_fract_y
_atom_site_fract_z
Mg1 Mg 0.0697 0.4012 0.2692
Mg2 Mg 0.1269 0.8986 0.2638
Mg3 Mg 0.2344 0.6719 0.0774
Mg4 Mg 0.2889 0.1689 0.0561
Mg5 Mg 0.3488 0.2837 0.6190
Mg6 Mg 0.3663 0.8067 0.5803
Si1 Si 0.1253 0.2109 0.4572
Si2 Si 0.1820 0.6072 0.4338
Si3 Si 0.1851 0.9548 0.9007
Si4 Si 0.1934 0.5317 0.9043
Si5 Si 0.4495 0.9021 0.7622
Si6 Si 0.4558 0.4959 0.7639
```

Main lines, low angle first (2θ from 5° to 70°):
| 2θ (°) | d/Å | I (rel.) | hkl |
| --- | --- | --- | --- |
| 31.90 | 2.806 | 18.4 | 0 2 -1 |
| 32.51 | 2.754 | 33.7 | 0 2 3 |
| 32.70 | 2.739 | 23.3 | 1 2 -1 |
| 35.35 | 2.539 | 29.6 | 2 0 1 |
| 35.59 | 2.522 | 24.4 | 1 2 -2 |
| 36.73 | 2.447 | 100.0 | 2 0 -2 |
| 38.50 | 2.338 | 51.8 | 0 0 6 |
| 42.37 | 2.133 | 30.8 | 1 -2 2 |
| 42.76 | 2.115 | 47.2 | 2 2 3 |
| 43.85 | 2.065 | 35.7 | 2 0 4 |

---

Entry 8:
For Sr2CaI6, DFT lattice parameters and positions (GGA-PBE) gives the computed powder X-ray diffraction pattern in this record (λ = 1.5418 Å (Cu Kα)).

Atomic structure:
```
data_Sr2CaI6
_chemical_formula_sum 'Sr8 Ca4 I24'
_space_group_name_H-M_alt 'P 1 21/c 1'
_space_group_IT_number 14
_space_group_name_Hall '-P 2ybc'
_cell_length_a 8.4261
_cell_length_b 7.9211
_cell_length_c 24.2097
_cell_angle_alpha 90.00
_cell_angle_beta 90.87
_cell_angle_gamma 90.00
loop_
_atom_site_label
_atom_site_type_symbol
_atom_site_fract_x
_atom_site_fract_y
_atom_site_fract_z
Sr1 Sr 0.1620 0.0168 0.4081
Sr2 Sr 0.2694 0.0555 0.7396
Ca1 Ca 0.3596 0.5313 0.5862
I1 I 0.0205 0.7436 0.1921
I2 I 0.1121 0.2347 0.1353
I3 I 0.1371 0.7098 0.0243
I4 I 0.3673 0.2050 0.9831
I5 I 0.3947 0.7053 0.3441
I6 I 0.4808 0.2006 0.3268
```

Main lines, low angle first (2θ from 5° to 70°):
| 2θ (°) | d/Å | I (rel.) | hkl |
| --- | --- | --- | --- |
| 19.00 | 4.671 | 28.7 | 1 1 3 |
| 22.45 | 3.960 | 75.3 | 0 2 0 |
| 24.77 | 3.595 | 64.7 | 0 1 6 |
| 25.14 | 3.542 | 43.0 | 2 1 2 |
| 27.99 | 3.188 | 100.0 | 2 1 -4 |
| 30.98 | 2.887 | 29.8 | 2 2 0 |
| 31.66 | 2.826 | 73.2 | 0 2 6 |
| 31.96 | 2.800 | 70.1 | 2 2 2 |
| 36.84 | 2.440 | 37.2 | 2 0 8 |
| 46.45 | 1.955 | 23.4 | 0 1 12 |